Structure and simulated powder diffractogram of Ba6Na2Cr2Ru2O17 (a PBE+U-relaxed structure; Cu Kα).

Cell and atoms:
```
Ba6Na2Cr2Ru2O17
1.0
5.926 0.000 0.000
-2.963 5.132 0.000
0.000 0.000 30.155
Ba Na Cr Ru O
12 4 4 4 34
direct
0.000 0.000 0.000
0.000 0.000 0.250
0.000 0.000 0.500
0.000 0.000 0.750
0.333 0.667 0.092
0.333 0.667 0.408
0.333 0.667 0.680
0.333 0.667 0.820
0.667 0.333 0.180
0.667 0.333 0.320
0.667 0.333 0.592
0.667 0.333 0.908
0.000 0.000 0.124
0.000 0.000 0.376
0.000 0.000 0.624
0.000 0.000 0.876
0.333 0.667 0.552
0.333 0.667 0.948
0.667 0.333 0.052
0.667 0.333 0.448
0.333 0.667 0.204
0.333 0.667 0.296
0.667 0.333 0.704
0.667 0.333 0.796
0.028 0.514 0.250
0.175 0.351 0.573
0.175 0.351 0.927
0.175 0.825 0.573
0.175 0.825 0.927
0.177 0.354 0.170
0.177 0.354 0.330
0.177 0.823 0.170
0.177 0.823 0.330
0.333 0.667 0.005
0.333 0.667 0.495
0.351 0.175 0.073
0.351 0.175 0.427
0.354 0.177 0.670
0.354 0.177 0.830
0.486 0.514 0.250
0.486 0.972 0.250
0.514 0.028 0.750
0.514 0.486 0.750
0.646 0.823 0.170
0.646 0.823 0.330
0.649 0.825 0.573
0.649 0.825 0.927
0.667 0.333 0.505
0.667 0.333 0.995
0.823 0.177 0.670
0.823 0.177 0.830
0.823 0.646 0.670
0.823 0.646 0.830
0.825 0.175 0.073
0.825 0.175 0.427
0.825 0.649 0.073
0.825 0.649 0.427
0.972 0.486 0.750
```

Most intense lines, 2θ = 5–70°, low angle first:
5.9 deg, I 27, hkl 0 0 2
20.9 deg, I 21, hkl 1 0 4
27.0 deg, I 29, hkl 1 0 7
29.4 deg, I 46, hkl 1 0 8
30.2 deg, I 100, hkl 1 1 0
40.9 deg, I 16, hkl 2 0 7
42.6 deg, I 28, hkl 2 0 8
53.1 deg, I 16, hkl 2 1 8
53.6 deg, I 19, hkl 3 0 0
62.7 deg, I 18, hkl 2 2 0